This entry pairs a crystal structure of Lu4Ni with its calculated X-ray diffraction stick pattern. Radiation: CuKα. Structure: a crystal structure in Alexandria, relaxed with GGA-PBE.

Structural model:
Cell lengths 10.4266, 10.4266, 10.4266 Å; angles 90.00, 90.00, 90.00 degrees
Space group Fd-3m (No. 227, origin choice 2)
Asymmetric unit:
Lu1 0.0121 0.0121 0.2379 x32
Ni1 0.1250 0.1250 0.6250 x8

Largest 8 diffraction maxima, by angle, 2θ from 5° to 70°:
Position (°2θ)  I (rel.)  index
29.68  100  2 2 2
34.41  40  4 0 0
37.60  11  3 3 1
45.19  13  5 1 1
49.45  40  4 4 0
58.74  37  6 2 2
61.63  8  4 4 4
63.74  6  5 5 1